No. 1
Structure and theoretical powder diffractogram of LiCrPO5 (the PBE+U geometry in the Materials Project; Cu Kα, 1.54184 Å).
Lines closer than 0.1° are merged.

Structure:
a b c (Å): 5.3228 9.5810 7.4443
angles (deg): 90.00 109.16 90.00
Element x y z (fractional)
1 Li 0.0524 0.0952 0.2043
2 Li 0.0524 0.4048 0.7043
3 Li 0.9476 0.5952 0.2957
4 Li 0.9476 0.9048 0.7957
5 Cr 0.4980 0.5839 0.6558
6 Cr 0.4980 0.9161 0.1558
7 Cr 0.5020 0.0839 0.8442
8 Cr 0.5020 0.4161 0.3442
9 P 0.3429 0.6516 0.0439
10 P 0.3429 0.8484 0.5439
11 P 0.6571 0.1516 0.4561
12 P 0.6571 0.3484 0.9561
13 O 0.1809 0.7112 0.5050
14 O 0.1809 0.7888 0.0050
15 O 0.2433 0.5465 0.1672
16 O 0.2433 0.9535 0.6672
17 O 0.2964 0.0488 0.0124
18 O 0.2964 0.4512 0.5124
19 O 0.3221 0.5804 0.8544
20 O 0.3221 0.9196 0.3544
21 O 0.3773 0.2135 0.3396
22 O 0.3773 0.2865 0.8396
23 O 0.6227 0.7135 0.1604
24 O 0.6227 0.7865 0.6604
25 O 0.6779 0.0804 0.6456
26 O 0.6779 0.4196 0.1456
27 O 0.7036 0.5488 0.4876
28 O 0.7036 0.9512 0.9876
29 O 0.7567 0.0465 0.3328
30 O 0.7567 0.4535 0.8328
31 O 0.8191 0.2112 0.9950
32 O 0.8191 0.2888 0.4950

Principal peaks in the range 15° ≤ 2θ ≤ 90°, sorted by position:
2θ = 17.6°, intensity 100
2θ = 18.5°, intensity 8
2θ = 19.9°, intensity 22
2θ = 27.0°, intensity 23
2θ = 27.4°, intensity 46
2θ = 31.2°, intensity 37
2θ = 44.4°, intensity 14
2θ = 45.6°, intensity 16
2θ = 45.9°, intensity 10
2θ = 46.2°, intensity 12

***

No. 2
Structure and theoretical powder diffractogram of LiCrP2O7 (the PBE+U geometry in the Materials Project; Cu Kα, 1.54184 Å).
Lines closer than 0.1° are merged.

Structure:
a b c (Å): 7.0431 10.0267 8.0997
angles (deg): 90.00 110.92 90.00
Element x y z (fractional)
1 Li 0.1024 0.1619 0.0499
2 Li 0.1024 0.3381 0.5499
3 Li 0.8976 0.6619 0.4501
4 Li 0.8976 0.8381 0.9501
5 Cr 0.2309 0.6080 0.2564
6 Cr 0.2309 0.8920 0.7564
7 Cr 0.7691 0.1080 0.2436
8 Cr 0.7691 0.3920 0.7436
9 P 0.1388 0.5910 0.8183
10 P 0.1388 0.9090 0.3183
11 P 0.4686 0.6461 0.7043
12 P 0.4686 0.8539 0.2043
13 P 0.5314 0.1461 0.7957
14 P 0.5314 0.3539 0.2957
15 P 0.8612 0.0910 0.6817
16 P 0.8612 0.4090 0.1817
17 O 0.0253 0.0309 0.2127
18 O 0.0253 0.4691 0.7127
19 O 0.0614 0.7186 0.7072
20 O 0.0614 0.7814 0.2072
21 O 0.1232 0.6048 0.9970
22 O 0.1232 0.8952 0.4970
23 O 0.3205 0.6196 0.5182
24 O 0.3205 0.8804 0.0182
25 O 0.3242 0.0819 0.7542
26 O 0.3242 0.4181 0.2542
27 O 0.3716 0.5716 0.8362
28 O 0.3716 0.9284 0.3362
29 O 0.4886 0.7060 0.2598
30 O 0.4886 0.7940 0.7598
31 O 0.5114 0.2060 0.2402
32 O 0.5114 0.2940 0.7402
33 O 0.6284 0.0716 0.6638
34 O 0.6284 0.4284 0.1638
35 O 0.6758 0.5819 0.7458
36 O 0.6758 0.9181 0.2458
37 O 0.6795 0.1196 0.9818
38 O 0.6795 0.3804 0.4818
39 O 0.8768 0.1048 0.5030
40 O 0.8768 0.3952 0.0030
41 O 0.9386 0.2186 0.7928
42 O 0.9386 0.2814 0.2928
43 O 0.9747 0.5309 0.2873
44 O 0.9747 0.9691 0.7873

Principal peaks in the range 15° ≤ 2θ ≤ 90°, sorted by position:
2θ = 16.1°, intensity 100
2θ = 16.9°, intensity 18
2θ = 23.5°, intensity 69
2θ = 30.0°, intensity 29
2θ = 31.1°, intensity 33
2θ = 32.5°, intensity 11
2θ = 35.8°, intensity 19
2θ = 39.5°, intensity 20
2θ = 48.1°, intensity 8
2θ = 61.4°, intensity 8

***

No. 3
Structure and theoretical powder diffractogram of LiCrP2O7 (the PBE+U geometry in the Materials Project; Cu Kα, 1.54184 Å).
Lines closer than 0.1° are merged.

Structure:
a b c (Å): 7.8422 7.8422 10.5896
angles (deg): 90.44 90.44 116.14
Element x y z (fractional)
1 Li 0.2127 0.7818 0.9990
2 Li 0.2182 0.7873 0.5010
3 Li 0.7818 0.2127 0.4990
4 Li 0.7873 0.2182 0.0010
5 Cr 0.1897 0.1919 0.6108
6 Cr 0.1919 0.1897 0.1108
7 Cr 0.8081 0.8103 0.8892
8 Cr 0.8103 0.8081 0.3892
9 P 0.1828 0.4074 0.3666
10 P 0.2117 0.4172 0.8695
11 P 0.4074 0.1828 0.8666
12 P 0.4172 0.2117 0.3695
13 P 0.5828 0.7883 0.6305
14 P 0.5926 0.8172 0.1334
15 P 0.7883 0.5828 0.1305
16 P 0.8172 0.5926 0.6334
17 O 0.0674 0.2707 0.4774
18 O 0.0864 0.2924 0.9811
19 O 0.1007 0.3028 0.2402
20 O 0.1203 0.3150 0.7435
21 O 0.2012 0.6023 0.3773
22 O 0.2544 0.6195 0.8806
23 O 0.2707 0.0674 0.9774
24 O 0.2924 0.0864 0.4811
25 O 0.3028 0.1007 0.7402
26 O 0.3150 0.1203 0.2435
27 O 0.3805 0.7456 0.6194
28 O 0.3937 0.4100 0.3812
29 O 0.3977 0.7988 0.1227
30 O 0.4100 0.3937 0.8812
31 O 0.5900 0.6063 0.1188
32 O 0.6023 0.2012 0.8773
33 O 0.6063 0.5900 0.6188
34 O 0.6195 0.2544 0.3806
35 O 0.6850 0.8797 0.7565
36 O 0.6972 0.8993 0.2598
37 O 0.7076 0.9136 0.5189
38 O 0.7293 0.9326 0.0226
39 O 0.7456 0.3805 0.1194
40 O 0.7988 0.3977 0.6227
41 O 0.8797 0.6850 0.2565
42 O 0.8993 0.6972 0.7598
43 O 0.9136 0.7076 0.0189
44 O 0.9326 0.7293 0.5226

Principal peaks in the range 15° ≤ 2θ ≤ 90°, sorted by position:
2θ = 21.4°, intensity 100
2θ = 25.3°, intensity 62
2θ = 27.1°, intensity 71
2θ = 27.5°, intensity 44
2θ = 28.3°, intensity 48
2θ = 28.5°, intensity 54
2θ = 33.9°, intensity 21
2θ = 39.3°, intensity 21
2θ = 39.5°, intensity 22
2θ = 59.9°, intensity 25

***

No. 4
Structure and theoretical powder diffractogram of Li3Cr2P5O16 (the PBE+U geometry in the Materials Project; Cu Kα, 1.54184 Å).
Lines closer than 0.1° are merged.

Structure:
a b c (Å): 5.1374 7.0952 17.7851
angles (deg): 90.00 91.76 90.00
Element x y z (fractional)
1 Li 0.0000 0.0239 0.2500
2 Li 0.0000 0.9761 0.7500
3 Li 0.2355 0.3285 0.9629
4 Li 0.2355 0.6715 0.4629
5 Li 0.7645 0.3285 0.5371
6 Li 0.7645 0.6715 0.0371
7 Cr 0.2388 0.1674 0.4125
8 Cr 0.2388 0.8326 0.9125
9 Cr 0.7612 0.1674 0.0875
10 Cr 0.7612 0.8326 0.5875
11 P 0.2277 0.4668 0.1238
12 P 0.2277 0.5332 0.6238
13 P 0.2798 0.1305 0.5919
14 P 0.2798 0.8695 0.0919
15 P 0.5000 0.2461 0.2500
16 P 0.5000 0.7539 0.7500
17 P 0.7202 0.1305 0.9081
18 P 0.7202 0.8695 0.4081
19 P 0.7723 0.4668 0.3762
20 P 0.7723 0.5332 0.8762
21 O 0.0635 0.4405 0.3906
22 O 0.0635 0.5595 0.8906
23 O 0.1215 0.1941 0.5209
24 O 0.1215 0.8059 0.0209
25 O 0.1438 0.0137 0.1396
26 O 0.1438 0.9863 0.6396
27 O 0.2888 0.3194 0.6457
28 O 0.2888 0.6806 0.1457
29 O 0.3057 0.3827 0.2053
30 O 0.3057 0.6173 0.7053
31 O 0.3265 0.1367 0.3011
32 O 0.3265 0.8633 0.8011
33 O 0.4001 0.3930 0.0636
34 O 0.4001 0.6070 0.5636
35 O 0.4339 0.0920 0.9261
36 O 0.4339 0.9080 0.4261
37 O 0.5661 0.0920 0.5739
38 O 0.5661 0.9080 0.0739
39 O 0.5999 0.3930 0.4364
40 O 0.5999 0.6070 0.9364
41 O 0.6735 0.1367 0.1989
42 O 0.6735 0.8633 0.6989
43 O 0.6943 0.3827 0.2947
44 O 0.6943 0.6173 0.7947
45 O 0.7112 0.3194 0.8543
46 O 0.7112 0.6806 0.3543
47 O 0.8562 0.0137 0.3604
48 O 0.8562 0.9863 0.8604
49 O 0.8785 0.1941 0.9791
50 O 0.8785 0.8059 0.4791
51 O 0.9365 0.4405 0.1094
52 O 0.9365 0.5595 0.6094

Principal peaks in the range 15° ≤ 2θ ≤ 90°, sorted by position:
2θ = 19.7°, intensity 38
2θ = 20.0°, intensity 85
2θ = 21.8°, intensity 41
2θ = 22.1°, intensity 100
2θ = 23.4°, intensity 33
2θ = 30.2°, intensity 36
2θ = 31.0°, intensity 55
2θ = 31.1°, intensity 44
2θ = 32.5°, intensity 41
2θ = 32.7°, intensity 44

***

No. 5
Structure and theoretical powder diffractogram of LiCrPO4 (the PBE+U geometry in the Materials Project; Cu Kα, 1.54184 Å).
Lines closer than 0.1° are merged.

Structure:
a b c (Å): 9.4163 9.4163 6.5828
angles (deg): 90.00 90.00 120.00
Element x y z (fractional)
1 Li 0.0000 0.0000 0.0000
2 Li 0.0000 0.0000 0.5000
3 Li 0.3333 0.6667 0.1049
4 Li 0.3333 0.6667 0.6466
5 Li 0.6667 0.3333 0.1466
6 Li 0.6667 0.3333 0.6049
7 Cr 0.1082 0.7184 0.3769
8 Cr 0.2816 0.3899 0.3769
9 Cr 0.3899 0.1082 0.8769
10 Cr 0.6101 0.8918 0.3769
11 Cr 0.7184 0.6101 0.8769
12 Cr 0.8918 0.2816 0.8769
13 P 0.0533 0.6908 0.8776
14 P 0.3092 0.3625 0.8776
15 P 0.3625 0.0533 0.3776
16 P 0.6375 0.9467 0.8776
17 P 0.6908 0.6375 0.3776
18 P 0.9467 0.3092 0.3776
19 O 0.0367 0.2076 0.3788
20 O 0.0841 0.4923 0.3774
21 O 0.1648 0.7324 0.6883
22 O 0.1658 0.7328 0.0661
23 O 0.1709 0.9633 0.3788
24 O 0.2076 0.1709 0.8788
25 O 0.2672 0.4330 0.0661
26 O 0.2676 0.4324 0.6883
27 O 0.4081 0.9159 0.3774
28 O 0.4324 0.1648 0.1883
29 O 0.4330 0.1658 0.5661
30 O 0.4923 0.4081 0.8774
31 O 0.5077 0.5919 0.3774
32 O 0.5670 0.8342 0.0661
33 O 0.5676 0.8352 0.6883
34 O 0.5919 0.0841 0.8774
35 O 0.7324 0.5676 0.1883
36 O 0.7328 0.5670 0.5661
37 O 0.7924 0.8291 0.3788
38 O 0.8291 0.0367 0.8788
39 O 0.8342 0.2672 0.5661
40 O 0.8352 0.2676 0.1883
41 O 0.9159 0.5077 0.8774
42 O 0.9633 0.7924 0.8788

Principal peaks in the range 15° ≤ 2θ ≤ 90°, sorted by position:
2θ = 17.3°, intensity 15
2θ = 18.8°, intensity 51
2θ = 25.7°, intensity 12
2θ = 27.1°, intensity 48
2θ = 29.0°, intensity 100
2θ = 33.2°, intensity 25
2θ = 39.9°, intensity 12
2θ = 40.1°, intensity 15
2θ = 42.3°, intensity 13
2θ = 51.3°, intensity 23

***

No. 6
Structure and theoretical powder diffractogram of LiCrPO5 (the PBE+U geometry in the Materials Project; Cu Kα, 1.54184 Å).
Lines closer than 0.1° are merged.

Structure:
a b c (Å): 7.0103 6.3779 7.4642
angles (deg): 90.00 90.00 90.00
Element x y z (fractional)
1 Li 0.0000 0.0000 0.0000
2 Li 0.0000 0.5000 0.0000
3 Li 0.5000 0.0000 0.5000
4 Li 0.5000 0.5000 0.5000
5 Cr 0.1357 0.2500 0.2708
6 Cr 0.3643 0.7500 0.7708
7 Cr 0.6357 0.2500 0.2292
8 Cr 0.8643 0.7500 0.7292
9 P 0.1264 0.7500 0.3750
10 P 0.3736 0.2500 0.8750
11 P 0.6264 0.7500 0.1250
12 P 0.8736 0.2500 0.6250
13 O 0.0585 0.2500 0.5115
14 O 0.1113 0.7500 0.8133
15 O 0.1281 0.5581 0.2481
16 O 0.1281 0.9419 0.2481
17 O 0.1930 0.2500 0.9967
18 O 0.3070 0.7500 0.4967
19 O 0.3719 0.0581 0.7481
20 O 0.3719 0.4419 0.7481
21 O 0.3887 0.2500 0.3133
22 O 0.4415 0.7500 0.0115
23 O 0.5585 0.2500 0.9885
24 O 0.6113 0.7500 0.6867
25 O 0.6281 0.5581 0.2519
26 O 0.6281 0.9419 0.2519
27 O 0.6930 0.2500 0.5033
28 O 0.8070 0.7500 0.0033
29 O 0.8719 0.0581 0.7519
30 O 0.8719 0.4419 0.7519
31 O 0.8887 0.2500 0.1867
32 O 0.9415 0.7500 0.4885

Principal peaks in the range 15° ≤ 2θ ≤ 90°, sorted by position:
2θ = 17.4°, intensity 16
2θ = 18.3°, intensity 36
2θ = 23.8°, intensity 32
2θ = 27.1°, intensity 21
2θ = 28.0°, intensity 66
2θ = 28.1°, intensity 100
2θ = 38.9°, intensity 23
2θ = 44.3°, intensity 16
2θ = 57.8°, intensity 31
2θ = 72.6°, intensity 17

***

No. 7
Structure and theoretical powder diffractogram of LiCrP4O12 (the PBE+U geometry in the Materials Project; Cu Kα, 1.54184 Å).
Lines closer than 0.1° are merged.

Structure:
a b c (Å): 7.2458 8.4106 7.6440
angles (deg): 90.00 91.98 90.00
Element x y z (fractional)
1 Li 0.2314 0.0000 0.1447
2 Li 0.7686 0.5000 0.8553
3 Cr 0.2365 0.7953 0.6639
4 Cr 0.7635 0.2953 0.3361
5 P 0.1288 0.4276 0.5622
6 P 0.1479 0.3752 0.1921
7 P 0.4154 0.5962 0.0171
8 P 0.4339 0.1784 0.6294
9 P 0.5661 0.6784 0.3706
10 P 0.5846 0.0962 0.9829
11 P 0.8521 0.8752 0.8079
12 P 0.8712 0.9276 0.4378
13 O 0.0531 0.8396 0.4546
14 O 0.0611 0.8895 0.8315
15 O 0.1166 0.5804 0.6628
16 O 0.2090 0.4648 0.3745
17 O 0.2269 0.4970 0.0539
18 O 0.2290 0.2147 0.1906
19 O 0.2845 0.3203 0.6585
20 O 0.3351 0.0226 0.6242
21 O 0.3676 0.7089 0.8723
22 O 0.4258 0.9889 0.9978
23 O 0.4380 0.7012 0.1961
24 O 0.4484 0.7218 0.5205
25 O 0.5516 0.2218 0.4795
26 O 0.5620 0.2012 0.8039
27 O 0.5742 0.4889 0.0022
28 O 0.6324 0.2089 0.1277
29 O 0.6649 0.5226 0.3758
30 O 0.7155 0.8203 0.3415
31 O 0.7710 0.7147 0.8094
32 O 0.7731 0.9970 0.9461
33 O 0.7910 0.9648 0.6255
34 O 0.8834 0.0804 0.3372
35 O 0.9389 0.3895 0.1685
36 O 0.9469 0.3396 0.5454

Principal peaks in the range 15° ≤ 2θ ≤ 90°, sorted by position:
2θ = 15.7°, intensity 89
2θ = 16.2°, intensity 47
2θ = 16.6°, intensity 54
2θ = 19.7°, intensity 34
2θ = 20.2°, intensity 28
2θ = 24.2°, intensity 29
2θ = 24.5°, intensity 100
2θ = 26.8°, intensity 90
2θ = 27.3°, intensity 30
2θ = 28.9°, intensity 63